Record 1
# K2CoBr5
Computed X-ray powder pattern, a wavelength of 1.5418 Å. Input: the GGA-PBE geometry in Alexandria.

Atomic structure:
```
data_K2CoBr5
_chemical_formula_sum 'K8 Co4 Br20'
_cell_length_a 11.2155
_cell_length_b 11.2155
_cell_length_c 15.7032
_cell_angle_alpha 119.69
_cell_angle_beta 119.69
_cell_angle_gamma 51.64
_space_group_name_H-M_alt 'P 1'
_space_group_IT_number 1
loop_
_space_group_symop_operation_xyz
'x,y,z'
loop_
_atom_site_label
_atom_site_fract_x
_atom_site_fract_y
_atom_site_fract_z
K1 0.0324 0.7004 0.1824
K2 0.1875 0.7683 0.5593
K3 0.2317 0.8125 0.9407
K4 0.2996 0.9676 0.3176
K5 0.7004 0.0324 0.6824
K6 0.7683 0.1875 0.0593
K7 0.8125 0.2317 0.4407
K8 0.9676 0.2996 0.8176
Co1 0.2346 0.4141 0.6785
Co2 0.4141 0.2346 0.1785
Co3 0.5859 0.7654 0.8215
Co4 0.7654 0.5859 0.3215
Br1 0.0717 0.6812 0.6806
Br2 0.0913 0.3137 0.6591
Br3 0.0911 0.8584 0.0956
Br4 0.1416 0.9089 0.4044
Br5 0.2734 0.3507 0.0447
Br6 0.3137 0.0913 0.1591
Br7 0.3188 0.9283 0.8194
Br8 0.3507 0.2734 0.5447
Br9 0.3959 0.4335 0.3325
Br10 0.4335 0.3959 0.8325
Br11 0.5665 0.6041 0.1675
Br12 0.6041 0.5665 0.6675
Br13 0.6493 0.7266 0.4553
Br14 0.6812 0.0717 0.1806
Br15 0.6863 0.9087 0.8409
Br16 0.7266 0.6493 0.9553
Br17 0.8584 0.0911 0.5956
Br18 0.9089 0.1416 0.9044
Br19 0.9087 0.6863 0.3409
Br20 0.9283 0.3188 0.3194
```

Largest 10 diffraction maxima, low angle first, 10° ≤ 2θ ≤ 80°:
17.68°, I = 59
18.20°, I = 52
20.15°, I = 77
23.86°, I = 43
27.53°, I = 100
27.90°, I = 80
28.08°, I = 44
28.25°, I = 46
29.51°, I = 53
32.93°, I = 53



Record 2
# K6CoBr8
Computed X-ray powder pattern, a wavelength of 1.5418 Å. Input: the GGA-PBE geometry in Alexandria.

Atomic structure:
```
data_K6CoBr8
_chemical_formula_sum 'K6 Co1 Br8'
_cell_length_a 8.4486
_cell_length_b 8.4486
_cell_length_c 8.4486
_cell_angle_alpha 70.54
_cell_angle_beta 70.54
_cell_angle_gamma 70.54
_space_group_name_H-M_alt 'P 1'
_space_group_IT_number 1
loop_
_space_group_symop_operation_xyz
'x,y,z'
loop_
_atom_site_label
_atom_site_fract_x
_atom_site_fract_y
_atom_site_fract_z
K1 0.0218 0.4439 0.7958
K2 0.2042 0.9782 0.5561
K3 0.4439 0.7958 0.0218
K4 0.5561 0.2042 0.9782
K5 0.7958 0.0218 0.4439
K6 0.9782 0.5561 0.2042
Co1 0.5000 0.5000 0.5000
Br1 0.1545 0.1545 0.1545
Br2 0.2017 0.6485 0.4070
Br3 0.3515 0.5930 0.7983
Br4 0.4070 0.2017 0.6485
Br5 0.5930 0.7983 0.3515
Br6 0.6485 0.4070 0.2017
Br7 0.7983 0.3515 0.5930
Br8 0.8455 0.8455 0.8455
```

Largest 10 diffraction maxima, low angle first, 10° ≤ 2θ ≤ 80°:
11.47°, I = 34
14.06°, I = 41
23.06°, I = 44
28.34°, I = 92
29.53°, I = 57
31.77°, I = 29
33.89°, I = 100
36.85°, I = 39
39.62°, I = 31
47.13°, I = 33



Record 3
# KMnCo2Br8
Computed X-ray powder pattern, a wavelength of 1.5418 Å. Input: the GGA-PBE geometry in Alexandria.

Atomic structure:
```
data_KMnCo2Br8
_chemical_formula_sum 'K1 Mn1 Co2 Br8'
_cell_length_a 10.5218
_cell_length_b 10.5218
_cell_length_c 10.5218
_cell_angle_alpha 36.72
_cell_angle_beta 36.72
_cell_angle_gamma 36.72
_space_group_name_H-M_alt 'P 1'
_space_group_IT_number 1
loop_
_space_group_symop_operation_xyz
'x,y,z'
loop_
_atom_site_label
_atom_site_fract_x
_atom_site_fract_y
_atom_site_fract_z
K1 0.0000 0.0000 0.0000
Mn1 0.5000 0.5000 0.5000
Co1 0.2436 0.2436 0.2436
Co2 0.7564 0.7564 0.7564
Br1 0.1277 0.4444 0.7695
Br2 0.2305 0.8723 0.5556
Br3 0.3227 0.3227 0.3227
Br4 0.4444 0.7695 0.1277
Br5 0.5556 0.2305 0.8723
Br6 0.6773 0.6773 0.6773
Br7 0.7695 0.1277 0.4444
Br8 0.8723 0.5556 0.2305
```

Largest 10 diffraction maxima, low angle first, 10° ≤ 2θ ≤ 80°:
19.62°, I = 21
27.30°, I = 40
28.43°, I = 100
32.62°, I = 71
46.06°, I = 46
47.52°, I = 45
54.40°, I = 18
55.67°, I = 30
56.31°, I = 17
76.70°, I = 18